(1)
# Tl2Ag3Sn9
Simulated X-ray diffraction stick pattern, Cu Kα (λ = 1.5418 Å). Input: a DFT-relaxed cell (GGA-PBE, Alexandria).
Intensities are scaled so that the largest is 100.

Structural model:
Cell: 8.7297 8.7297 12.0016 Å, 111.14 111.14 61.68°
Sites, in units of the cell vectors:
Tl (0.0239, 0.2461, 0.2564)
Tl (0.2461, 0.0239, 0.7564)
Tl (0.7539, 0.9761, 0.2436)
Tl (0.9761, 0.7539, 0.7436)
Ag (0.0000, 0.5000, 0.0000)
Ag (0.1948, 0.6658, 0.5469)
Ag (0.3342, 0.8052, 0.9531)
Ag (0.5000, 0.0000, 0.5000)
Ag (0.6658, 0.1948, 0.0469)
Ag (0.8052, 0.3342, 0.4531)
Sn (0.0459, 0.8482, 0.0702)
Sn (0.1225, 0.5887, 0.2666)
Sn (0.1518, 0.9541, 0.4298)
Sn (0.1824, 0.3391, 0.5959)
Sn (0.3055, 0.4486, 0.9183)
Sn (0.3391, 0.1824, 0.0959)
Sn (0.4113, 0.8775, 0.2334)
Sn (0.4486, 0.3055, 0.4183)
Sn (0.4805, 0.5195, 0.7500)
Sn (0.5195, 0.4805, 0.2500)
Sn (0.5514, 0.6945, 0.5817)
Sn (0.5887, 0.1225, 0.7666)
Sn (0.6609, 0.8176, 0.9041)
Sn (0.6945, 0.5514, 0.0817)
Sn (0.8176, 0.6609, 0.4041)
Sn (0.8482, 0.0459, 0.5702)
Sn (0.8775, 0.4113, 0.7334)
Sn (0.9541, 0.1518, 0.9298)

Main lines, in order of rising 2θ (2θ = 5–70°):
Position (°2θ)  d (Å)  I_rel
31.26  2.861  29
31.58  2.833  19
31.74  2.819  66
32.02  2.796  50
32.13  2.786  55
32.35  2.767  18
35.03  2.562  100
35.97  2.496  60
48.77  1.867  14
50.26  1.815  15

(2)
# ZnInGa
Simulated X-ray diffraction stick pattern, Cu Kα (λ = 1.5418 Å). Input: a DFT-relaxed cell (GGA-PBE, Alexandria).
Intensities are scaled so that the largest is 100.

Structural model:
Cell: 3.2147 6.2374 6.3206 Å, 84.03 89.97 89.99°
Sites, in units of the cell vectors:
Zn (0.0000, 0.0000, 0.0000)
Zn (0.0000, 0.3826, 0.4556)
In (0.5002, 0.7874, 0.3288)
In (0.5007, 0.3821, 0.0500)
Ga (0.0017, 0.6825, 0.7431)
Ga (0.5010, 0.0844, 0.6547)

Main lines, in order of rising 2θ (2θ = 5–70°):
Position (°2θ)  d (Å)  I_rel
30.52  2.929  27
30.79  2.904  34
33.27  2.693  13
35.15  2.553  100
41.72  2.165  35
41.92  2.155  32
43.05  2.101  20
43.17  2.095  14
43.78  2.068  17
57.32  1.607  13

(3)
# Np2Si7Ru12
Simulated X-ray diffraction stick pattern, Cu Kα (λ = 1.5418 Å). Input: a DFT-relaxed cell (GGA-PBE, Alexandria).
Intensities are scaled so that the largest is 100.

Structural model:
Cell: 9.6097 9.6097 3.9140 Å, 90.00 90.00 120.00°
Sites, in units of the cell vectors:
Np (0.0000, 0.0000, 0.0000)
Np (0.3333, 0.6667, 0.5000)
Si (0.0601, 0.4326, 0.0000)
Si (0.2645, 0.2267, 0.5000)
Si (0.3725, 0.9399, 0.0000)
Si (0.5674, 0.6275, 0.0000)
Si (0.6667, 0.3333, 0.5000)
Si (0.7733, 0.0378, 0.5000)
Si (0.9622, 0.7355, 0.5000)
Ru (0.0351, 0.2627, 0.5000)
Ru (0.1082, 0.7129, 0.0000)
Ru (0.2276, 0.9649, 0.5000)
Ru (0.2871, 0.3953, 0.0000)
Ru (0.4545, 0.2243, 0.0000)
Ru (0.5173, 0.4618, 0.5000)
Ru (0.5382, 0.0555, 0.5000)
Ru (0.6047, 0.8918, 0.0000)
Ru (0.7373, 0.7724, 0.5000)
Ru (0.7698, 0.5455, 0.0000)
Ru (0.7757, 0.2302, 0.0000)
Ru (0.9445, 0.4827, 0.5000)

Main lines, in order of rising 2θ (2θ = 5–70°):
Position (°2θ)  d (Å)  I_rel
25.14  3.542  10
28.37  3.146  15
36.65  2.452  100
37.43  2.402  8
39.02  2.308  8
43.50  2.081  10
46.40  1.957  17
50.24  1.816  14
53.39  1.716  10
63.78  1.459  9

(4)
# La6Er8Mg
Simulated X-ray diffraction stick pattern, Cu Kα (λ = 1.5418 Å). Input: a DFT-relaxed cell (GGA-PBE, Alexandria).
Intensities are scaled so that the largest is 100.

Structural model:
Cell: 8.3195 8.3195 8.3195 Å, 70.98 70.98 70.98°
Sites, in units of the cell vectors:
La (0.1632, 0.6211, 0.4320)
La (0.3789, 0.5680, 0.8368)
La (0.4320, 0.1632, 0.6211)
La (0.5680, 0.8368, 0.3789)
La (0.6211, 0.4320, 0.1632)
La (0.8368, 0.3789, 0.5680)
Er (0.0550, 0.3659, 0.8756)
Er (0.1244, 0.9450, 0.6341)
Er (0.2357, 0.2357, 0.2357)
Er (0.3659, 0.8756, 0.0551)
Er (0.6341, 0.1244, 0.9450)
Er (0.7643, 0.7643, 0.7643)
Er (0.8756, 0.0550, 0.3659)
Er (0.9449, 0.6341, 0.1244)
Mg (0.0000, 0.0000, 0.0000)

Main lines, in order of rising 2θ (2θ = 5–70°):
Position (°2θ)  d (Å)  I_rel
28.93  3.087  31
29.86  2.992  100
34.34  2.611  64
34.48  2.601  10
48.75  1.868  19
49.96  1.826  20
57.69  1.598  7
58.76  1.571  18
59.30  1.558  13
62.03  1.496  10

(5)
# LaHRh
Simulated X-ray diffraction stick pattern, Cu Kα (λ = 1.5418 Å). Input: a DFT-relaxed cell (GGA-PBE, Alexandria).
Intensities are scaled so that the largest is 100.

Structural model:
Cell: 3.9338 4.1101 7.0170 Å, 90.00 106.16 90.00°
Sites, in units of the cell vectors:
La (0.1227, 0.0000, 0.2460)
La (0.8773, 0.5000, 0.7540)
H (0.3032, 0.1340, 0.6050)
H (0.6968, 0.6340, 0.3950)
Rh (0.4181, 0.9722, 0.8357)
Rh (0.5819, 0.4722, 0.1643)

Main lines, in order of rising 2θ (2θ = 5–70°):
Position (°2θ)  d (Å)  I_rel
13.14  6.740  25
26.45  3.370  52
30.20  2.960  19
32.19  2.781  79
37.44  2.402  100
44.07  2.055  21
46.15  1.967  22
52.13  1.755  16
52.94  1.730  15
57.84  1.594  15

(6)
# Rb2NdInCl6
Simulated X-ray diffraction stick pattern, Cu Kα (λ = 1.5418 Å). Input: a DFT-relaxed cell (GGA-PBE, Alexandria).
Intensities are scaled so that the largest is 100.

Structural model:
Cell: 7.7862 8.2474 13.5122 Å, 90.00 124.16 90.00°
Sites, in units of the cell vectors:
Rb (0.2203, 0.0704, 0.2461)
Rb (0.2203, 0.4296, 0.7461)
Rb (0.7797, 0.5704, 0.2539)
Rb (0.7797, 0.9296, 0.7539)
Nd (0.5000, 0.0000, 0.0000)
Nd (0.5000, 0.5000, 0.5000)
In (0.0000, 0.0000, 0.5000)
In (0.0000, 0.5000, 0.0000)
Cl (0.1616, 0.1817, 0.9469)
Cl (0.1616, 0.3183, 0.4469)
Cl (0.2593, 0.7233, 0.9329)
Cl (0.2593, 0.7767, 0.4329)
Cl (0.3860, 0.0470, 0.7688)
Cl (0.3860, 0.4530, 0.2688)
Cl (0.6140, 0.5470, 0.7312)
Cl (0.6140, 0.9530, 0.2312)
Cl (0.7407, 0.2233, 0.5671)
Cl (0.7407, 0.2767, 0.0671)
Cl (0.8384, 0.6817, 0.5531)
Cl (0.8384, 0.8183, 0.0531)

Main lines, in order of rising 2θ (2θ = 5–70°):
Position (°2θ)  d (Å)  I_rel
15.65  5.661  40
21.55  4.124  42
22.20  4.004  100
22.50  3.952  97
22.85  3.892  38
31.61  2.831  67
32.02  2.795  41
38.93  2.314  32
39.57  2.278  41
40.07  2.250  53

(7)
# Ba3U2O9
Simulated X-ray diffraction stick pattern, Cu Kα (λ = 1.5418 Å). Input: a DFT-relaxed cell (GGA-PBE, Alexandria).
Intensities are scaled so that the largest is 100.

Structural model:
Cell: 7.8324 7.8324 7.8324 Å, 86.93 86.93 86.93°
Sites, in units of the cell vectors:
Ba (0.0780, 0.7500, 0.4220)
Ba (0.2500, 0.5780, 0.9220)
Ba (0.4220, 0.0780, 0.7500)
Ba (0.5780, 0.9220, 0.2500)
Ba (0.7500, 0.4220, 0.0780)
Ba (0.9220, 0.2500, 0.5780)
U (0.1398, 0.1398, 0.1398)
U (0.3602, 0.3602, 0.3602)
U (0.6398, 0.6398, 0.6398)
U (0.8602, 0.8602, 0.8602)
O (0.0758, 0.2628, 0.9184)
O (0.0816, 0.9242, 0.7372)
O (0.1044, 0.3956, 0.2500)
O (0.2372, 0.4242, 0.5816)
O (0.2500, 0.1044, 0.3956)
O (0.2628, 0.9184, 0.0758)
O (0.3956, 0.2500, 0.1044)
O (0.4184, 0.7628, 0.5758)
O (0.4242, 0.5816, 0.2372)
O (0.5758, 0.4184, 0.7628)
O (0.5816, 0.2372, 0.4242)
O (0.6044, 0.7500, 0.8956)
O (0.7372, 0.0816, 0.9242)
O (0.7500, 0.8956, 0.6044)
O (0.7628, 0.5758, 0.4184)
O (0.8956, 0.6044, 0.7500)
O (0.9184, 0.0758, 0.2628)
O (0.9242, 0.7372, 0.0816)

Main lines, in order of rising 2θ (2θ = 5–70°):
Position (°2θ)  d (Å)  I_rel
16.45  5.388  47
24.97  3.566  40
26.75  3.333  32
28.70  3.111  100
31.56  2.835  23
35.79  2.509  30
38.40  2.344  31
41.49  2.176  20
50.84  1.796  21
59.43  1.555  19

(8)
# Y2Be15Co2
Simulated X-ray diffraction stick pattern, Cu Kα (λ = 1.5418 Å). Input: a DFT-relaxed cell (GGA-PBE, Alexandria).
Intensities are scaled so that the largest is 100.

Structural model:
Cell: 5.8663 5.8663 5.8663 Å, 83.34 83.34 83.34°
Sites, in units of the cell vectors:
Y (0.1583, 0.1583, 0.1583)
Y (0.8417, 0.8417, 0.8417)
Be (0.0000, 0.5000, 0.5000)
Be (0.1659, 0.1659, 0.6486)
Be (0.1659, 0.6486, 0.1659)
Be (0.2262, 0.5000, 0.7738)
Be (0.2262, 0.7738, 0.5000)
Be (0.3514, 0.8341, 0.8341)
Be (0.5000, 0.0000, 0.5000)
Be (0.5000, 0.2262, 0.7738)
Be (0.5000, 0.5000, 0.0000)
Be (0.5000, 0.7738, 0.2262)
Be (0.6486, 0.1659, 0.1659)
Be (0.7738, 0.2262, 0.5000)
Be (0.7738, 0.5000, 0.2262)
Be (0.8341, 0.3514, 0.8341)
Be (0.8341, 0.8341, 0.3514)
Co (0.3993, 0.3993, 0.3993)
Co (0.6007, 0.6007, 0.6007)

Main lines, in order of rising 2θ (2θ = 5–70°):
Position (°2θ)  d (Å)  I_rel
22.80  3.900  100
33.10  2.707  21
34.47  2.602  22
40.04  2.252  30
41.73  2.164  16
46.57  1.950  23
47.04  1.932  12
48.08  1.893  18
54.26  1.691  8
63.06  1.474  13

(9)
# Rb2Hg5Au4
Simulated X-ray diffraction stick pattern, Cu Kα (λ = 1.5418 Å). Input: a DFT-relaxed cell (GGA-PBE, Alexandria).
Intensities are scaled so that the largest is 100.

Structural model:
Cell: 7.9994 7.9994 9.4466 Å, 125.46 125.46 47.90°
Sites, in units of the cell vectors:
Rb (0.2290, 0.2290, 0.1615)
Rb (0.7710, 0.7710, 0.8385)
Hg (0.1932, 0.6944, 0.6536)
Hg (0.3056, 0.8068, 0.3464)
Hg (0.5000, 0.5000, 0.0000)
Hg (0.6944, 0.1932, 0.6536)
Hg (0.8068, 0.3056, 0.3464)
Au (0.1174, 0.1174, 0.6909)
Au (0.2778, 0.2778, 0.6366)
Au (0.7222, 0.7222, 0.3634)
Au (0.8826, 0.8826, 0.3091)

Main lines, in order of rising 2θ (2θ = 5–70°):
Position (°2θ)  d (Å)  I_rel
12.13  7.299  75
16.57  5.351  100
31.79  2.815  43
33.21  2.698  60
33.49  2.676  62
35.64  2.519  45
36.95  2.433  39
37.31  2.410  72
37.71  2.385  60
41.22  2.190  43

(10)
# Sc4SeS3
Simulated X-ray diffraction stick pattern, Cu Kα (λ = 1.5418 Å). Input: a DFT-relaxed cell (GGA-PBE, Alexandria).
Intensities are scaled so that the largest is 100.

Structural model:
Cell: 6.4899 6.4899 3.7201 Å, 90.00 90.00 109.27°
Sites, in units of the cell vectors:
Sc (0.2281, 0.2281, 0.5000)
Sc (0.2385, 0.7615, 0.0000)
Sc (0.7615, 0.2385, 0.0000)
Sc (0.7719, 0.7719, 0.5000)
Se (0.5000, 0.5000, 0.0000)
S (0.0000, 0.0000, 0.0000)
S (0.0000, 0.5000, 0.5000)
S (0.5000, 0.0000, 0.5000)

Main lines, in order of rising 2θ (2θ = 5–70°):
Position (°2θ)  d (Å)  I_rel
16.75  5.292  3
28.06  3.180  5
33.90  2.644  100
37.10  2.423  5
44.36  2.042  3
48.47  1.878  11
48.69  1.870  43
48.97  1.860  11
60.44  1.532  10
60.88  1.522  11

(11)
# HoH5Os
Simulated X-ray diffraction stick pattern, Cu Kα (λ = 1.5418 Å). Input: a DFT-relaxed cell (GGA-PBE, Alexandria).
Intensities are scaled so that the largest is 100.

Structural model:
Cell: 4.9328 4.9328 4.9328 Å, 116.91 80.22 135.83°
Sites, in units of the cell vectors:
Ho (0.0000, 0.0000, 0.0000)
H (0.2745, 0.9974, 0.2772)
H (0.4999, 0.3221, 0.8222)
H (0.4999, 0.6777, 0.1778)
H (0.7202, 0.9974, 0.7228)
H (0.9993, 0.4993, 0.5000)
Os (0.4992, 0.9992, 0.5000)

Main lines, in order of rising 2θ (2θ = 5–70°):
Position (°2θ)  d (Å)  I_rel
23.58  3.773  90
29.66  3.012  100
34.76  2.581  33
38.23  2.354  99
42.44  2.130  38
55.18  1.664  18
57.66  1.599  31
59.20  1.561  15
64.63  1.442  22
66.89  1.399  20

(12)
# DySe6Cl12
Simulated X-ray diffraction stick pattern, Cu Kα (λ = 1.5418 Å). Input: a DFT-relaxed cell (GGA-PBE, Alexandria).
Intensities are scaled so that the largest is 100.

Structural model:
Cell: 13.0301 13.0301 13.0301 Å, 35.52 35.52 35.52°
Sites, in units of the cell vectors:
Dy (0.0000, 0.0000, 0.0000)
Se (0.1114, 0.1856, 0.4603)
Se (0.1856, 0.4603, 0.1114)
Se (0.4603, 0.1114, 0.1856)
Se (0.5397, 0.8886, 0.8144)
Se (0.8144, 0.5397, 0.8886)
Se (0.8886, 0.8144, 0.5397)
Cl (0.1135, 0.2714, 0.7403)
Cl (0.1217, 0.7759, 0.4985)
Cl (0.2241, 0.5015, 0.8783)
Cl (0.2597, 0.8865, 0.7286)
Cl (0.2714, 0.7403, 0.1135)
Cl (0.4985, 0.1217, 0.7759)
Cl (0.5015, 0.8783, 0.2241)
Cl (0.7286, 0.2597, 0.8865)
Cl (0.7403, 0.1135, 0.2714)
Cl (0.7759, 0.4985, 0.1217)
Cl (0.8783, 0.2241, 0.5015)
Cl (0.8865, 0.7286, 0.2597)

Main lines, in order of rising 2θ (2θ = 5–70°):
Position (°2θ)  d (Å)  I_rel
7.25  12.195  21
13.09  6.765  36
16.12  5.500  100
23.35  3.809  34
23.54  3.779  19
26.78  3.329  28
31.11  2.874  26
34.56  2.595  25
34.83  2.576  17
37.17  2.419  15